1.
Diffraction record for Li3MnCoO5. The X-ray powder pattern is theoretical, not measured: it uses a structure optimized by DFT (GGA+U) and Cu Kα X-rays.
Neutral-atom scattering factors, no anomalous dispersion.

Crystal structure
```
data_Li3MnCoO5
_chemical_formula_sum 'Li12 Mn4 Co4 O20'
_cell_length_a 4.9802
_cell_length_b 14.8760
_cell_length_c 5.0917
_cell_angle_alpha 90.00
_cell_angle_beta 108.54
_cell_angle_gamma 90.00
_space_group_name_H-M_alt 'C 1 2/m 1'
_space_group_IT_number 12
loop_
_space_group_symop_operation_xyz
'x,y,z'
'-x,-y,-z'
'-x,y,-z'
'x,-y,z'
'x+1/2,y+1/2,z'
'-x+1/2,-y+1/2,-z'
'-x+1/2,y+1/2,-z'
'x+1/2,-y+1/2,z'
loop_
_atom_site_label
_atom_site_type_symbol
_atom_site_fract_x
_atom_site_fract_y
_atom_site_fract_z
Li1 Li 0.0000 0.0000 0.0000
Li2 Li 0.0000 0.0907 0.5000
Li3 Li 0.0000 0.3014 0.5000
Li4 Li 0.0000 0.5000 0.5000
Mn1 Mn 0.0000 0.1989 0.0000
Co1 Co 0.0000 0.4057 0.0000
O1 O 0.2248 0.5000 0.2451
O2 O 0.2431 0.1097 0.2217
O3 O 0.2487 0.2950 0.2212
```

Main lines, low angle first (2θ from 5° to 70°):
2θ 11.9, intensity 11, hkl 0 2 0; 2θ 18.4, intensity 100, hkl 0 0 1; 2θ 19.7, intensity 12, hkl 1 1 0; 2θ 35.7, intensity 26, hkl 1 5 0; 2θ 36.7, intensity 12, hkl 2 0 -1; 2θ 43.3, intensity 60, hkl 1 5 1; 2θ 44.3, intensity 29, hkl 2 0 -2; 2θ 57.2, intensity 11, hkl 1 5 2; 2θ 63.1, intensity 17, hkl 1 5 -3; 2θ 64.3, intensity 15, hkl 3 5 -1

---

2.
Diffraction record for Li4Mn3CoO8. The X-ray powder pattern is theoretical, not measured: it uses a structure optimized by DFT (GGA+U) and Cu Kα X-rays.
Neutral-atom scattering factors, no anomalous dispersion.

Crystal structure
```
data_Li4Mn3CoO8
_chemical_formula_sum 'Li4 Mn3 Co1 O8'
_cell_length_a 3.0759
_cell_length_b 5.1059
_cell_length_c 10.1377
_cell_angle_alpha 100.71
_cell_angle_beta 94.80
_cell_angle_gamma 102.24
_space_group_name_H-M_alt 'P -1'
_space_group_IT_number 2
loop_
_space_group_symop_operation_xyz
'x,y,z'
'-x,-y,-z'
loop_
_atom_site_label
_atom_site_type_symbol
_atom_site_fract_x
_atom_site_fract_y
_atom_site_fract_z
Li1 Li 0.2439 0.4935 0.1232
Li2 Li 0.2508 0.4980 0.6245
Mn1 Mn 0.0020 0.0009 0.2469
Mn2 Mn 0.5000 0.0000 0.5000
Co1 Co 0.5000 0.0000 0.0000
O1 O 0.1369 0.2263 0.9354
O2 O 0.1442 0.2325 0.4303
O3 O 0.3556 0.7670 0.3171
O4 O 0.3587 0.7692 0.8220
```

Main lines, low angle first (2θ from 5° to 70°):
2θ 18.2, intensity 100, hkl 0 1 0; 2θ 33.0, intensity 23, hkl 1 0 -2; 2θ 36.4, intensity 28, hkl 0 0 4; 2θ 39.6, intensity 36, hkl 1 1 -2; 2θ 44.4, intensity 49, hkl 0 1 4; 2θ 46.5, intensity 12, hkl 1 1 2; 2θ 58.5, intensity 9, hkl 1 -3 2; 2θ 60.6, intensity 16, hkl 2 -1 0; 2θ 61.3, intensity 16, hkl 1 2 2; 2θ 65.4, intensity 10, hkl 1 -1 6

---

3.
Diffraction record for Li7Mn2Co3O12. The X-ray powder pattern is theoretical, not measured: it uses a structure optimized by DFT (GGA+U) and Cu Kα X-rays.
Neutral-atom scattering factors, no anomalous dispersion.

Crystal structure
```
data_Li7Mn2Co3O12
_chemical_formula_sum 'Li7 Mn2 Co3 O12'
_cell_length_a 8.2526
_cell_length_b 2.8726
_cell_length_c 9.7186
_cell_angle_alpha 90.00
_cell_angle_beta 114.72
_cell_angle_gamma 90.00
_space_group_name_H-M_alt 'P 1 2/m 1'
_space_group_IT_number 10
loop_
_space_group_symop_operation_xyz
'x,y,z'
'-x,-y,-z'
'-x,y,-z'
'x,-y,z'
loop_
_atom_site_label
_atom_site_type_symbol
_atom_site_fract_x
_atom_site_fract_y
_atom_site_fract_z
Li1 Li 0.0000 0.0000 0.0000
Li2 Li 0.0000 0.5000 0.5000
Li3 Li 0.1576 0.0000 0.3222
Li4 Li 0.3035 0.5000 0.1547
Li5 Li 0.5000 0.0000 0.0000
Mn1 Mn 0.3333 0.0000 0.6720
Co1 Co 0.1610 0.5000 0.8376
Co2 Co 0.5000 0.5000 0.5000
O1 O 0.0661 0.5000 0.1711
O2 O 0.1026 0.0000 0.6837
O3 O 0.2422 0.0000 0.9801
O4 O 0.2530 0.5000 0.5232
O5 O 0.3977 0.5000 0.8206
O6 O 0.4366 0.0000 0.3331
```

Main lines, low angle first (2θ from 5° to 70°):
2θ 11.8, intensity 16, hkl 1 0 -1; 2θ 18.5, intensity 100, hkl 1 0 1; 2θ 36.1, intensity 13, hkl 3 0 -3; 2θ 36.5, intensity 27, hkl 1 1 -2; 2θ 43.9, intensity 27, hkl 4 0 -2; 2θ 44.1, intensity 55, hkl 0 1 3; 2θ 48.3, intensity 8, hkl 3 1 0; 2θ 57.9, intensity 14, hkl 5 0 -1; 2θ 63.8, intensity 14, hkl 4 1 1; 2θ 64.1, intensity 14, hkl 4 1 -5

---

4.
Diffraction record for Li5Mn2CoO8. The X-ray powder pattern is theoretical, not measured: it uses a structure optimized by DFT (GGA+U) and Cu Kα X-rays.
Neutral-atom scattering factors, no anomalous dispersion.

Crystal structure
```
data_Li5Mn2CoO8
_chemical_formula_sum 'Li10 Mn4 Co2 O16'
_cell_length_a 2.8800
_cell_length_b 5.0718
_cell_length_c 19.1155
_cell_angle_alpha 85.67
_cell_angle_beta 89.90
_cell_angle_gamma 89.98
_space_group_name_H-M_alt 'P -1'
_space_group_IT_number 2
loop_
_space_group_symop_operation_xyz
'x,y,z'
'-x,-y,-z'
loop_
_atom_site_label
_atom_site_type_symbol
_atom_site_fract_x
_atom_site_fract_y
_atom_site_fract_z
Li1 Li 0.0000 0.0000 0.0000
Li2 Li 0.0000 0.5000 0.5000
Li3 Li 0.0030 0.2630 0.2512
Li4 Li 0.4944 0.8718 0.8690
Li5 Li 0.4970 0.2395 0.7482
Li6 Li 0.4983 0.6097 0.6277
Mn1 Mn 0.0016 0.8761 0.3735
Mn2 Mn 0.0037 0.6519 0.1292
Co1 Co 0.5000 0.0000 0.5000
Co2 Co 0.5000 0.5000 0.0000
O1 O 0.0005 0.3563 0.0585
O2 O 0.0006 0.1598 0.4434
O3 O 0.0023 0.5916 0.3206
O4 O 0.0045 0.9303 0.1838
O5 O 0.4941 0.1919 0.9314
O6 O 0.4963 0.5308 0.8198
O7 O 0.4979 0.9458 0.6780
O8 O 0.4991 0.2773 0.5642
```

Main lines, low angle first (2θ from 5° to 70°):
2θ 9.3, intensity 44, hkl 0 0 2; 2θ 18.5, intensity 100, hkl 0 1 -1; 2θ 18.6, intensity 10, hkl 0 0 4; 2θ 36.3, intensity 12, hkl 0 1 7; 2θ 36.4, intensity 14, hkl 1 0 4; 2θ 36.5, intensity 12, hkl 1 0 -4; 2θ 44.0, intensity 89, hkl 1 1 -5; 2θ 58.0, intensity 11, hkl 1 -2 6; 2θ 63.8, intensity 15, hkl -1 3 1; 2θ 64.7, intensity 8, hkl 2 0 0